CeSiIrRu: theoretical powder XRD pattern (Cu Kα), based on a cell relaxed with PBE.

```
CeSiIrRu
1.0
4.3525 0.0000 0.0000
0.0000 3.7946 0.0000
0.0000 0.0000 9.0591
Ce Si Ir Ru
2 2 2 2
direct
0.0000 0.0000 0.0000
0.0000 0.5000 0.5000
0.5000 0.0000 0.6069
0.5000 0.5000 0.1069
0.0000 0.0000 0.7260
0.0000 0.5000 0.2260
0.5000 0.0000 0.2772
0.5000 0.5000 0.7772
```

Peak list (6 most intense, 10° ≤ 2θ ≤ 90°, in order of falling intensity)
| 2θ (°) | Rel. int. | (hkl) |
| --- | --- | --- |
| 32.84 | 1000 | 1 1 1 |
| 43.58 | 510 | 1 1 3 |
| 20.40 | 313 | 1 0 0 |
| 38.08 | 293 | 0 1 3 |
| 41.49 | 289 | 2 0 0 |
| 45.13 | 199 | 1 0 4 |

Sr2In12Sn: theoretical powder XRD pattern (Cu Kα), based on a cell relaxed with PBE.

```
Sr2In12Sn
1.0
6.8010 0.0000 0.0000
0.0000 6.8010 0.0000
0.0000 0.0000 19.3803
Sr In Sn
4 24 2
direct
0.2500 0.7500 0.2300
0.2500 0.7500 0.7700
0.7500 0.2500 0.2300
0.7500 0.2500 0.7700
0.0002 0.9998 0.3944
0.9998 0.0002 0.6056
0.9998 0.4998 0.3944
0.0002 0.5002 0.6056
0.0793 0.5793 0.0658
0.0793 0.9207 0.9342
0.2500 0.2500 0.1512
0.2500 0.2500 0.2988
0.2500 0.2500 0.7012
0.2500 0.2500 0.8488
0.4207 0.5793 0.9342
0.4207 0.9207 0.0658
0.5002 0.0002 0.3944
0.4998 0.9998 0.6056
0.4998 0.5002 0.3944
0.5002 0.4998 0.6056
0.5793 0.0793 0.9342
0.5793 0.4207 0.0658
0.7500 0.7500 0.1512
0.7500 0.7500 0.2988
0.7500 0.7500 0.7012
0.7500 0.7500 0.8488
0.9207 0.0793 0.0658
0.9207 0.4207 0.9342
0.2500 0.7500 0.5000
0.7500 0.2500 0.5000
```

Peak list (6 most intense, 10° ≤ 2θ ≤ 90°, in order of falling intensity)
| 2θ (°) | Rel. int. | (hkl) |
| --- | --- | --- |
| 37.43 | 1000 | 2 2 0 |
| 27.80 | 521 | 2 0 2 |
| 32.16 | 358 | 2 0 4 |
| 38.44 | 351 | 2 0 6 |
| 29.68 | 329 | 2 0 3 |
| 35.11 | 262 | 2 0 5 |

PaNiHgTe3: theoretical powder XRD pattern (Cu Kα), based on a cell relaxed with PBE.

```
PaNiHgTe3
1.0
10.3054 0.0000 0.0000
0.0000 4.0967 0.0000
-4.6068 0.0000 9.5019
Pa Ni Hg Te
2 2 2 6
direct
0.1689 0.2500 0.1909
0.8311 0.7500 0.8091
0.3845 0.7500 0.3993
0.6155 0.2500 0.6007
0.2453 0.2500 0.7168
0.7547 0.7500 0.2832
0.1241 0.7500 0.3751
0.1652 0.7500 0.9713
0.4925 0.2500 0.3319
0.5075 0.7500 0.6681
0.8348 0.2500 0.0287
0.8759 0.2500 0.6249
```

Peak list (6 most intense, 10° ≤ 2θ ≤ 90°, in order of falling intensity)
| 2θ (°) | Rel. int. | (hkl) |
| --- | --- | --- |
| 27.60 | 1000 | 1 1 -2 |
| 10.01 | 442 | 1 0 -1 |
| 34.21 | 305 | 3 1 -1 |
| 28.88 | 271 | 3 0 0 |
| 41.45 | 242 | 4 1 -2 |
| 28.78 | 241 | 0 1 2 |

Tb3Pr2Er: theoretical powder XRD pattern (Cu Kα), based on a cell relaxed with PBE.

```
Tb3Pr2Er
1.0
7.0979 0.0000 0.0000
0.0000 9.8267 0.0000
0.0000 0.0000 5.6743
Tb Pr Er
6 4 2
direct
0.0000 0.0000 0.0000
0.2502 0.1667 0.5000
0.2498 0.6667 0.0000
0.5000 0.5000 0.5000
0.7502 0.3333 0.0000
0.7498 0.8333 0.5000
0.2494 0.3331 0.0000
0.2506 0.8331 0.5000
0.7494 0.1669 0.5000
0.7506 0.6669 0.0000
0.0000 0.5000 0.5000
0.5000 0.0000 0.0000
```

Peak list (6 most intense, 10° ≤ 2θ ≤ 90°, in order of falling intensity)
| 2θ (°) | Rel. int. | (hkl) |
| --- | --- | --- |
| 31.54 | 1000 | 0 3 1 |
| 31.09 | 946 | 2 2 0 |
| 55.87 | 363 | 2 5 1 |
| 44.87 | 346 | 2 2 2 |
| 61.65 | 295 | 4 3 1 |
| 56.16 | 196 | 0 6 0 |

CsYbSe2: theoretical powder XRD pattern (Cu Kα), based on a cell relaxed with PBE.

```
CsYbSe2
1.0
4.3006 0.0000 0.0000
-2.1503 3.7244 0.0000
0.0000 0.0000 16.5849
Cs Yb Se
2 2 4
direct
0.3333 0.6667 0.2500
0.6667 0.3333 0.7500
0.0000 0.0000 0.0000
0.0000 0.0000 0.5000
0.3333 0.6667 0.5922
0.3333 0.6667 0.9078
0.6667 0.3333 0.0922
0.6667 0.3333 0.4078
```

Peak list (6 most intense, 10° ≤ 2θ ≤ 90°, in order of falling intensity)
| 2θ (°) | Rel. int. | (hkl) |
| --- | --- | --- |
| 28.91 | 1000 | 1 0 3 |
| 26.23 | 845 | 1 0 2 |
| 40.65 | 616 | 1 0 6 |
| 42.02 | 612 | 1 1 0 |
| 32.32 | 330 | 1 0 4 |
| 10.67 | 285 | 0 0 2 |

Pm2DyOs: theoretical powder XRD pattern (Cu Kα), based on a cell relaxed with PBE.

```
Pm2DyOs
1.0
4.0689 0.0000 0.0000
0.0000 12.0218 0.0000
0.0000 0.0000 9.2009
Pm Dy Os
8 4 4
direct
0.0000 0.1424 0.0671
0.0000 0.1424 0.4329
0.0000 0.8576 0.5671
0.0000 0.8576 0.9329
0.5000 0.3576 0.5671
0.5000 0.3576 0.9329
0.5000 0.6424 0.0671
0.5000 0.6424 0.4329
0.0000 0.4211 0.2500
0.0000 0.5789 0.7500
0.5000 0.0789 0.7500
0.5000 0.9211 0.2500
0.0000 0.2397 0.7500
0.0000 0.7603 0.2500
0.5000 0.2603 0.2500
0.5000 0.7397 0.7500
```

Peak list (6 most intense, 10° ≤ 2θ ≤ 90°, in order of falling intensity)
| 2θ (°) | Rel. int. | (hkl) |
| --- | --- | --- |
| 32.82 | 1000 | 0 2 3 |
| 30.25 | 313 | 1 1 2 |
| 37.48 | 302 | 1 1 3 |
| 31.33 | 273 | 1 3 0 |
| 44.53 | 177 | 2 0 0 |
| 14.74 | 175 | 0 2 0 |

Zn2AsN3: theoretical powder XRD pattern (Cu Kα), based on a cell relaxed with PBE.

```
Zn2AsN3
1.0
3.1746 0.0000 0.0000
0.0000 9.6732 0.0000
0.0000 0.0000 4.6733
Zn As N
4 2 6
direct
0.0000 0.1687 0.0000
0.0000 0.8313 0.0000
0.5000 0.3313 0.5000
0.5000 0.6687 0.5000
0.0000 0.5000 0.9740
0.5000 0.0000 0.4740
0.0000 0.0000 0.7142
0.0000 0.3445 0.7669
0.0000 0.6555 0.7669
0.5000 0.1555 0.2669
0.5000 0.5000 0.2142
0.5000 0.8445 0.2669
```

Peak list (6 most intense, 10° ≤ 2θ ≤ 90°, in order of falling intensity)
| 2θ (°) | Rel. int. | (hkl) |
| --- | --- | --- |
| 34.14 | 1000 | 1 0 1 |
| 33.77 | 991 | 0 3 1 |
| 56.63 | 541 | 1 3 2 |
| 39.85 | 423 | 1 3 0 |
| 68.26 | 241 | 1 6 1 |
| 38.53 | 229 | 0 0 2 |

GaSiNi2B: theoretical powder XRD pattern (Cu Kα), based on a cell relaxed with PBE.

```
GaSiNi2B
1.0
4.4395 0.0000 0.0000
0.0000 4.4395 0.0000
0.0000 0.0000 3.7537
Ga Si Ni B
1 1 2 1
direct
0.0000 0.0000 0.0000
0.5000 0.5000 0.5000
0.0000 0.5000 0.0000
0.5000 0.0000 0.0000
0.0000 0.0000 0.5000
```

Peak list (6 most intense, 10° ≤ 2θ ≤ 90°, in order of falling intensity)
| 2θ (°) | Rel. int. | (hkl) |
| --- | --- | --- |
| 40.64 | 1000 | 2 0 0 |
| 23.70 | 999 | 0 0 1 |
| 31.20 | 638 | 1 0 1 |
| 47.59 | 615 | 2 0 1 |
| 65.08 | 458 | 2 0 2 |
| 37.34 | 386 | 1 1 1 |

What is the formula in the fifth record?
CsYbSe2